Calculated X-ray diffraction stick pattern of H6PbCNCl3 for Cu Kα (λ = 1.5418 Å), from a GGA-PBE-relaxed structure.
Lines closer than 0.1° are merged.

Main lines, by angle (10° ≤ 2θ ≤ 80°):
(0 0 2), 2θ = 14.35°, d 6.173, I = 656; (1 1 0), 2θ = 15.25°, d 5.810, I = 1000; (2 0 0), 2θ = 21.63°, d 4.108, I = 442; (2 -2 0), 2θ = 30.78°, d 2.905, I = 529; (3 -1 0), 2θ = 34.51°, d 2.599, I = 409; (4 0 0), 2θ = 44.07°, d 2.055, I = 234

Cell: 8.218 8.218 12.350 Å, 89.11 88.69 89.97°
Space group P1 (No. 1)
Inequivalent atoms, fractional coordinates:
H 0.000 0.000 0.000 (multiplicity 1)
H 0.002 0.036 0.678 (multiplicity 1)
H 0.004 0.911 0.501 (multiplicity 1)
H 0.022 0.880 0.183 (multiplicity 1)
H 0.080 0.091 0.177 (multiplicity 1)
H 0.100 0.841 0.682 (multiplicity 1)
H 0.121 0.075 0.495 (multiplicity 1)
H 0.135 0.850 0.001 (multiplicity 1)
H 0.198 0.043 0.994 (multiplicity 1)
H 0.205 0.889 0.498 (multiplicity 1)
H 0.221 0.023 0.677 (multiplicity 1)
H 0.233 0.936 0.178 (multiplicity 1)
H 0.500 0.504 0.500 (multiplicity 1)
H 0.506 0.503 0.996 (multiplicity 1)
H 0.522 0.381 0.682 (multiplicity 1)
H 0.525 0.376 0.180 (multiplicity 1)
H 0.573 0.589 0.177 (multiplicity 1)
H 0.585 0.590 0.677 (multiplicity 1)
H 0.631 0.351 0.499 (multiplicity 1)
H 0.649 0.357 0.998 (multiplicity 1)
H 0.698 0.543 0.493 (multiplicity 1)
H 0.701 0.551 0.997 (multiplicity 1)
H 0.733 0.441 0.178 (multiplicity 1)
H 0.735 0.431 0.676 (multiplicity 1)
Pb 0.109 0.460 0.861 (multiplicity 1)
Pb 0.110 0.461 0.361 (multiplicity 1)
Pb 0.609 0.959 0.861 (multiplicity 1)
Pb 0.610 0.967 0.361 (multiplicity 1)
C 0.108 0.965 0.651 (multiplicity 1)
C 0.112 0.968 0.151 (multiplicity 1)
C 0.611 0.468 0.150 (multiplicity 1)
C 0.613 0.467 0.650 (multiplicity 1)
N 0.110 0.960 0.530 (multiplicity 1)
N 0.111 0.965 0.030 (multiplicity 1)
N 0.610 0.465 0.529 (multiplicity 1)
N 0.616 0.468 0.029 (multiplicity 1)
Cl 0.110 0.465 0.146 (multiplicity 1)
Cl 0.112 0.464 0.646 (multiplicity 1)
Cl 0.344 0.192 0.886 (multiplicity 1)
Cl 0.346 0.730 0.391 (multiplicity 1)
Cl 0.369 0.687 0.888 (multiplicity 1)
Cl 0.378 0.232 0.386 (multiplicity 1)
Cl 0.611 0.962 0.146 (multiplicity 1)
Cl 0.612 0.965 0.646 (multiplicity 1)
Cl 0.837 0.220 0.889 (multiplicity 1)
Cl 0.846 0.700 0.390 (multiplicity 1)
Cl 0.875 0.724 0.890 (multiplicity 1)
Cl 0.879 0.198 0.386 (multiplicity 1)